Starting from a DFT-relaxed cell (GGA-PBE, Alexandria), the powder X-ray diffraction pattern of CaAcNd2Hg4 was computed for Cu Ka.

The 8 most intense peaks (2θ from 10° to 80°), low angle first:
| 2θ/deg | intensity |
| --- | --- |
| 32.3 | 100.0 |
| 32.9 | 98.8 |
| 46.8 | 36.2 |
| 57.2 | 17.9 |
| 58.4 | 37.6 |
| 58.8 | 21.1 |
| 77.3 | 15.1 |
| 78.3 | 16.3 |

Crystal structure
a = 5.4432 Å, b = 5.4432 Å, c = 27.4093 Å
α = 90.00°, β = 90.00°, γ = 120.00°
Space group R-3m (No. 166, hexagonal axes)
Symmetry-distinct sites (fractional):
1 Ca 0.0000 0.0000 0.0000 (multiplicity 3)
2 Ac 0.0000 0.0000 0.5000 (multiplicity 3)
3 Nd 0.0000 0.0000 0.2547 (multiplicity 6)
4 Hg 0.0000 0.0000 0.1196 (multiplicity 6)
5 Hg 0.0000 0.0000 0.3732 (multiplicity 6)

Starting from a DFT-relaxed cell (GGA-PBE, Alexandria), the powder X-ray diffraction pattern of CaAcPr2Hg4 was computed for Cu Ka.

The 8 most intense peaks (2θ from 10° to 80°), low angle first:
| 2θ/deg | intensity |
| --- | --- |
| 32.2 | 100.0 |
| 32.7 | 99.0 |
| 46.6 | 36.4 |
| 57.2 | 18.2 |
| 58.1 | 37.9 |
| 58.4 | 19.2 |
| 77.0 | 15.5 |
| 77.8 | 16.5 |

Crystal structure
a = 5.4728 Å, b = 5.4728 Å, c = 27.4128 Å
α = 90.00°, β = 90.00°, γ = 120.00°
Space group R-3m (No. 166, hexagonal axes)
Symmetry-distinct sites (fractional):
1 Ca 0.0000 0.0000 0.0000 (multiplicity 3)
2 Ac 0.0000 0.0000 0.5000 (multiplicity 3)
3 Pr 0.0000 0.0000 0.2544 (multiplicity 6)
4 Hg 0.0000 0.0000 0.1203 (multiplicity 6)
5 Hg 0.0000 0.0000 0.3733 (multiplicity 6)

Starting from a DFT-relaxed cell (GGA-PBE, Alexandria), the powder X-ray diffraction pattern of Ca2Ac5Ho was computed for Cu Ka.

The 8 most intense peaks (2θ from 10° to 80°), low angle first:
| 2θ/deg | intensity |
| --- | --- |
| 27.9 | 100.0 |
| 32.1 | 17.0 |
| 32.5 | 34.4 |
| 46.3 | 25.1 |
| 46.6 | 12.8 |
| 54.8 | 14.8 |
| 55.2 | 30.9 |
| 57.7 | 13.2 |

Crystal structure
a = 5.518 Å, b = 5.518 Å, c = 22.278 Å
α = 90.00°, β = 90.00°, γ = 90.00°
Space group I4/mmm (No. 139)
Symmetry-distinct sites (fractional):
1 Ca 0.000 0.000 0.249 (multiplicity 4)
2 Ac 0.000 0.000 0.000 (multiplicity 2)
3 Ac 0.000 0.500 0.121 (multiplicity 8)
4 Ho 0.000 0.000 0.500 (multiplicity 2)

Starting from a DFT-relaxed cell (GGA-PBE, Alexandria), the powder X-ray diffraction pattern of Ca4Ac15Ho was computed for Cu Ka.

The 8 most intense peaks (2θ from 10° to 80°), low angle first:
| 2θ/deg | intensity |
| --- | --- |
| 27.7 | 100.0 |
| 31.9 | 17.4 |
| 32.2 | 34.3 |
| 46.0 | 25.4 |
| 46.1 | 12.9 |
| 54.4 | 15.2 |
| 54.7 | 31.3 |
| 57.2 | 13.6 |

Crystal structure
a = 5.564 Å, b = 5.564 Å, c = 28.016 Å
α = 90.00°, β = 90.00°, γ = 90.00°
Space group P4/mmm (No. 123)
Symmetry-distinct sites (fractional):
1 Ca 0.000 0.000 0.101 (multiplicity 2)
2 Ca 0.000 0.000 0.302 (multiplicity 2)
3 Ac 0.000 0.500 0.000 (multiplicity 2)
4 Ac 0.000 0.500 0.202 (multiplicity 4)
5 Ac 0.000 0.500 0.404 (multiplicity 4)
6 Ac 0.500 0.500 0.101 (multiplicity 2)
7 Ac 0.500 0.500 0.302 (multiplicity 2)
8 Ac 0.500 0.500 0.500 (multiplicity 1)
9 Ho 0.000 0.000 0.500 (multiplicity 1)

Starting from a DFT-relaxed cell (GGA-PBE, Alexandria), the powder X-ray diffraction pattern of CaAc4In2 was computed for Cu Ka.

The 8 most intense peaks (2θ from 10° to 80°), low angle first:
| 2θ/deg | intensity |
| --- | --- |
| 28.2 | 93.8 |
| 28.8 | 79.9 |
| 28.9 | 100.0 |
| 29.8 | 57.0 |
| 32.3 | 46.4 |
| 32.8 | 70.9 |
| 35.4 | 46.1 |
| 46.5 | 26.1 |

Crystal structure
a = 6.665 Å, b = 7.648 Å, c = 11.433 Å
α = 92.79°, β = 97.65°, γ = 110.47°
Space group P1 (No. 1)
Symmetry-distinct sites (fractional):
1 Ca 0.000 0.000 0.000 (multiplicity 1)
2 Ca 0.365 0.838 0.859 (multiplicity 1)
3 Ac 0.185 0.822 0.317 (multiplicity 1)
4 Ac 0.193 0.337 0.311 (multiplicity 1)
5 Ac 0.350 0.147 0.588 (multiplicity 1)
6 Ac 0.503 0.399 0.900 (multiplicity 1)
7 Ac 0.613 0.685 0.186 (multiplicity 1)
8 Ac 0.628 0.175 0.161 (multiplicity 1)
9 Ac 0.757 0.734 0.653 (multiplicity 1)
10 Ac 0.919 0.297 0.734 (multiplicity 1)
11 In 0.054 0.526 0.040 (multiplicity 1)
12 In 0.220 0.624 0.579 (multiplicity 1)
13 In 0.760 0.428 0.429 (multiplicity 1)
14 In 0.773 0.022 0.435 (multiplicity 1)

Starting from a DFT-relaxed cell (GGA-PBE, Alexandria), the powder X-ray diffraction pattern of Ca3Ac2In2 was computed for Cu Ka.

The 8 most intense peaks (2θ from 10° to 80°), low angle first:
| 2θ/deg | intensity |
| --- | --- |
| 17.9 | 46.7 |
| 20.5 | 30.6 |
| 24.6 | 29.5 |
| 29.9 | 42.1 |
| 30.7 | 100.0 |
| 37.2 | 42.0 |
| 44.2 | 25.9 |
| 62.4 | 22.2 |

Crystal structure
a = 5.8184 Å, b = 5.8184 Å, c = 25.9963 Å
α = 90.00°, β = 90.00°, γ = 120.00°
Space group R-3m (No. 166, hexagonal axes)
Symmetry-distinct sites (fractional):
1 Ca 0.0000 0.0000 0.0000 (multiplicity 3)
2 Ca 0.0000 0.0000 0.1429 (multiplicity 6)
3 Ac 0.0000 0.0000 0.4038 (multiplicity 6)
4 In 0.0000 0.0000 0.2685 (multiplicity 6)

Starting from a DFT-relaxed cell (GGA-PBE, Alexandria), the powder X-ray diffraction pattern of Li4Ca2Ac3In2 was computed for Cu Ka.

The 8 most intense peaks (2θ from 10° to 80°), low angle first:
| 2θ/deg | intensity |
| --- | --- |
| 19.7 | 55.1 |
| 20.5 | 21.7 |
| 22.9 | 37.4 |
| 26.4 | 20.5 |
| 30.6 | 100.0 |
| 34.4 | 59.2 |
| 46.7 | 31.8 |
| 59.3 | 31.6 |

Crystal structure
a = 5.2161 Å, b = 5.2161 Å, c = 15.2810 Å
α = 90.00°, β = 90.00°, γ = 120.00°
Space group P-3m1 (No. 164)
Symmetry-distinct sites (fractional):
1 Li 0.3333 0.6667 0.3362 (multiplicity 2)
2 Li 0.3333 0.6667 0.8739 (multiplicity 2)
3 Ca 0.3333 0.6667 0.5719 (multiplicity 2)
4 Ac 0.0000 0.0000 0.0000 (multiplicity 1)
5 Ac 0.0000 0.0000 0.2463 (multiplicity 2)
6 In 0.3333 0.6667 0.1346 (multiplicity 2)

Starting from a DFT-relaxed cell (GGA-PBE, Alexandria), the powder X-ray diffraction pattern of Ca2AcMgIn4 was computed for Cu Ka.

The 8 most intense peaks (2θ from 10° to 80°), low angle first:
| 2θ/deg | intensity |
| --- | --- |
| 19.3 | 19.9 |
| 20.1 | 19.5 |
| 24.8 | 24.8 |
| 31.8 | 99.9 |
| 33.3 | 100.0 |
| 46.7 | 33.6 |
| 58.6 | 33.7 |
| 59.6 | 18.2 |

Crystal structure
a = 5.3748 Å, b = 5.3748 Å, c = 28.2966 Å
α = 90.00°, β = 90.00°, γ = 120.00°
Space group R-3m (No. 166, hexagonal axes)
Symmetry-distinct sites (fractional):
1 Ca 0.0000 0.0000 0.2420 (multiplicity 6)
2 Ac 0.0000 0.0000 0.0000 (multiplicity 3)
3 Mg 0.0000 0.0000 0.5000 (multiplicity 3)
4 In 0.0000 0.0000 0.1265 (multiplicity 6)
5 In 0.0000 0.0000 0.3872 (multiplicity 6)